# TmNbGa2O8
Theoretical powder diffraction line list, Cu Kα (λ = 1.5418 Å). Input: DFT lattice parameters and positions (GGA-PBE).

Peak list (10 most intense, 10 to 90 degrees two-theta, by intensity)
- 2θ 26.2, intensity 100
- 2θ 33.2, intensity 80
- 2θ 50.9, intensity 65
- 2θ 18.9, intensity 24
- 2θ 37.4, intensity 21
- 2θ 64.8, intensity 19
- 2θ 53.9, intensity 16
- 2θ 63.3, intensity 15
- 2θ 60.9, intensity 14
- 2θ 77.3, intensity 13

Cell and atoms:
Lattice parameters (Å, degrees): 5.8084 5.8084 5.8084 108.32 108.32 111.79
Fractional positions:
Tm (0.0000, 0.0000, 0.0000)
Nb (0.2500, 0.7500, 0.5000)
Ga (0.5000, 0.5000, 0.0000)
Ga (0.7500, 0.2500, 0.5000)
O (0.3127, 0.1090, 0.7963)
O (0.3127, 0.5165, 0.2037)
O (0.3595, 0.0375, 0.3220)
O (0.4835, 0.6873, 0.7963)
O (0.7155, 0.0375, 0.6780)
O (0.8910, 0.6873, 0.2037)
O (0.9625, 0.2845, 0.3220)
O (0.9625, 0.6405, 0.6780)